Theoretical PXRD pattern of Li2VCrO4 for λ = 1.5418 Å (Cu Kα), from a cell relaxed with PBE+U.

Peak list (6 most intense, 10 to 90 degrees two-theta, by angle)
2theta  I_rel
18.2  1000
35.2  272
35.4  135
42.7  577
43.1  281
62.3  305

Structure:
Cell lengths 5.1541, 5.9974, 5.1526 Å; angles 90.00, 109.17, 90.00 degrees
Space group P2/c (No. 13)
One atom of each set of equivalent atoms:
Li (0.0000, 0.1213, 0.2500) (multiplicity 2)
Li (0.0000, 0.3691, 0.7500) (multiplicity 2)
V (0.5000, 0.3756, 0.2500) (multiplicity 2)
Cr (0.5000, 0.1236, 0.7500) (multiplicity 2)
O (0.2719, 0.3720, 0.5090) (multiplicity 4)
O (0.2744, 0.1226, 0.0075) (multiplicity 4)